Computed X-ray diffraction stick pattern of InPb3 for copper Kα, from a crystal structure in Alexandria, relaxed with GGA-PBE.

The 10 most intense peaks (2θ = 5–70°), by angle:
Position (°2θ)	I (rel.)	index
31.02	1000	1 1 1
31.16	494	4 0 0
31.52	479	2 0 -2
36.03	676	3 1 -1
36.42	329	2 0 2
51.93	242	5 1 1
52.40	235	1 1 -3
61.38	149	4 2 0
61.59	145	2 2 -2
62.23	282	3 1 3

Structural model:
abc: 11.6535 3.5525 6.0156
angles: 90.00 99.85 90.00
Space group C2/m (No. 12)
Symmetry-distinct sites (fractional):
In 0.0000 0.0000 0.0000
Pb 0.0000 0.5000 0.5000
Pb 0.2491 0.0000 0.7531

=====

Computed X-ray diffraction stick pattern of In4Pb7 for copper Kα, from a crystal structure in Alexandria, relaxed with GGA-PBE.

The 10 most intense peaks (2θ = 5–70°), by angle:
Position (°2θ)	I (rel.)	index
25.86	248	2 1 0
29.39	160	3 0 0
30.34	185	1 1 1
31.93	1000	2 0 1
34.07	786	2 2 0
36.31	220	2 1 1
47.39	232	4 0 1
56.75	118	5 0 1
59.64	143	4 2 1
63.13	268	2 2 2

Structural model:
abc: 10.5263 10.5263 3.5543
angles: 90.00 90.00 120.00
Space group P-6m2 (No. 187)
Symmetry-distinct sites (fractional):
In 0.0000 0.0000 0.0000
In 0.5044 0.0087 0.5000
Pb 0.1533 0.3066 0.5000
Pb 0.3333 0.6667 0.0000
Pb 0.3901 0.1950 0.0000